(1)
This entry pairs a crystal structure of Li3Fe3O4F4 with its theoretical powder diffractogram. Radiation: Cu Kα X-rays. Structure: a PBE+U-relaxed structure.
No peak broadening, texture or thermal motion is included.

Peak list (6 most intense, 5 to 70 degrees two-theta, by angle)
2θ (°), Rel. int.
9.0, 49
19.8, 100
32.6, 39
35.7, 42
39.2, 31
50.6, 43

Cell and atoms:
Lattice parameters (Å, degrees): 5.0521 3.0354 9.8144 90.00 90.03 90.00
Fractional positions:
1 Li 0.0000 0.0000 0.0000
2 Li 0.0301 0.5000 0.3728
3 Li 0.5466 0.0000 0.8283
4 Fe 0.4576 0.5000 0.2125
5 Fe 0.4773 0.0000 0.4826
6 Fe 0.9691 0.5000 0.6875
7 O 0.2372 0.5000 0.5498
8 O 0.2541 0.0000 0.2971
9 O 0.6642 0.5000 0.3840
10 O 0.7397 0.0000 0.6412
11 F 0.1773 0.0000 0.7977
12 F 0.2219 0.5000 0.0501
13 F 0.6800 0.0000 0.1245
14 F 0.7618 0.5000 0.8760

(2)
This entry pairs a crystal structure of K3MnO3 with its theoretical powder diffractogram. Radiation: Cu Kα X-rays. Structure: a PBE+U-relaxed structure.
No peak broadening, texture or thermal motion is included.

Peak list (6 most intense, 5 to 70 degrees two-theta, by angle)
2θ (°), Rel. int.
19.2, 99
30.1, 56
30.4, 63
30.5, 78
30.8, 100
42.1, 53

Cell and atoms:
Lattice parameters (Å, degrees): 6.7246 11.7163 6.8353 90.00 95.58 90.00
Fractional positions:
1 K 0.0226 0.2263 0.0860
2 K 0.0226 0.2737 0.5860
3 K 0.3467 0.5088 0.6425
4 K 0.3467 0.9912 0.1425
5 K 0.4762 0.2130 0.4920
6 K 0.4762 0.2870 0.9920
7 K 0.5238 0.7130 0.0080
8 K 0.5238 0.7870 0.5080
9 K 0.6533 0.0088 0.8575
10 K 0.6533 0.4912 0.3575
11 K 0.9774 0.7263 0.4140
12 K 0.9774 0.7737 0.9140
13 Mn 0.1597 0.5031 0.1607
14 Mn 0.1597 0.9969 0.6607
15 Mn 0.8403 0.0031 0.3393
16 Mn 0.8403 0.4969 0.8393
17 O 0.1066 0.0748 0.4032
18 O 0.1066 0.4252 0.9032
19 O 0.2788 0.1204 0.8056
20 O 0.2788 0.3796 0.3056
21 O 0.3012 0.6268 0.2863
22 O 0.3012 0.8732 0.7863
23 O 0.6988 0.1268 0.2137
24 O 0.6988 0.3732 0.7137
25 O 0.7212 0.6204 0.6944
26 O 0.7212 0.8796 0.1944
27 O 0.8934 0.5748 0.0968
28 O 0.8934 0.9252 0.5968